# SrCdOsO6
Theoretical powder diffraction line list, copper Kα. Input: a crystal structure in Alexandria, relaxed with PBE.

Atomic structure:
abc: 5.6266 5.6266 5.1040
angles: 90.00 90.00 120.00
Space group P312 (No. 149)
Symmetry-distinct sites (fractional):
Sr 0.0000 0.0000 0.0000
Cd 0.3333 0.6667 0.5000
Os 0.6667 0.3333 0.5000
O 0.3993 0.0542 0.7118

Main lines, sorted by position (2θ from 5° to 70°):
| 2theta | I (rel.) |
| --- | --- |
| 17.37 | 36 |
| 18.21 | 22 |
| 25.27 | 100 |
| 31.81 | 53 |
| 36.47 | 28 |
| 41.05 | 25 |
| 48.14 | 49 |
| 52.85 | 26 |
| 56.67 | 16 |
| 68.47 | 12 |

# Zr5Zn2In
Theoretical powder diffraction line list, copper Kα. Input: a crystal structure in Alexandria, relaxed with PBE.

Atomic structure:
abc: 7.4246 7.4246 12.3426
angles: 90.00 90.00 90.00
Space group I4/mcm (No. 140)
Symmetry-distinct sites (fractional):
Zr 0.0000 0.0000 0.0000
Zr 0.1552 0.3448 0.1523
Zn 0.1374 0.3626 0.5000
In 0.0000 0.0000 0.2500

Main lines, sorted by position (2θ from 5° to 70°):
| 2theta | I (rel.) |
| --- | --- |
| 33.69 | 21 |
| 34.16 | 12 |
| 34.72 | 100 |
| 37.92 | 23 |
| 38.34 | 63 |
| 44.02 | 8 |
| 55.34 | 9 |
| 55.72 | 9 |
| 59.77 | 7 |
| 60.85 | 9 |

# RbMg6TiO8
Theoretical powder diffraction line list, copper Kα. Input: a crystal structure in Alexandria, relaxed with PBE.

Atomic structure:
abc: 4.6154 4.6154 8.6626
angles: 90.00 90.00 90.00
Space group P4/mmm (No. 123)
Symmetry-distinct sites (fractional):
Rb 0.0000 0.0000 0.0000
Mg 0.0000 0.5000 0.2449
Mg 0.5000 0.5000 0.0000
Mg 0.5000 0.5000 0.5000
Ti 0.0000 0.0000 0.5000
O 0.0000 0.0000 0.2842
O 0.0000 0.5000 0.0000
O 0.0000 0.5000 0.5000
O 0.5000 0.5000 0.2533

Main lines, sorted by position (2θ from 5° to 70°):
| 2theta | I (rel.) |
| --- | --- |
| 19.23 | 24 |
| 20.51 | 11 |
| 27.33 | 10 |
| 28.26 | 21 |
| 34.41 | 41 |
| 39.03 | 100 |
| 41.71 | 43 |
| 56.39 | 30 |
| 58.44 | 50 |
| 67.75 | 15 |

# Tb5Hg2Bi2
Theoretical powder diffraction line list, copper Kα. Input: a crystal structure in Alexandria, relaxed with PBE.

Atomic structure:
abc: 15.9243 8.1977 8.0994
angles: 90.00 90.00 90.00
Space group Cmce (No. 64)
Symmetry-distinct sites (fractional):
Tb 0.0000 0.0000 0.0000
Tb 0.1318 0.1678 0.3363
Hg 0.0000 0.1340 0.6311
Bi 0.2059 0.0000 0.0000

Main lines, sorted by position (2θ from 5° to 70°):
| 2theta | I (rel.) |
| --- | --- |
| 29.81 | 100 |
| 31.04 | 51 |
| 31.32 | 36 |
| 31.51 | 34 |
| 32.11 | 39 |
| 33.27 | 91 |
| 35.11 | 71 |
| 35.46 | 65 |
| 37.57 | 37 |
| 63.71 | 34 |

# Mg3Tl8Pb
Theoretical powder diffraction line list, copper Kα. Input: a crystal structure in Alexandria, relaxed with PBE.

Atomic structure:
abc: 6.0727 6.0727 10.6906
angles: 90.00 90.00 120.00
Space group P-31m (No. 162)
Symmetry-distinct sites (fractional):
Mg 0.0000 0.0000 0.0000
Mg 0.3333 0.6667 0.0000
Tl 0.0000 0.3323 0.2324
Tl 0.3333 0.6667 0.5000
Pb 0.0000 0.0000 0.5000

Main lines, sorted by position (2θ from 5° to 70°):
| 2theta | I (rel.) |
| --- | --- |
| 8.27 | 33 |
| 24.99 | 16 |
| 30.61 | 100 |
| 33.53 | 29 |
| 33.96 | 89 |
| 38.97 | 40 |
| 52.18 | 29 |
| 52.33 | 24 |
| 60.22 | 19 |
| 63.46 | 28 |

# PrNd2Er2Tm
Theoretical powder diffraction line list, copper Kα. Input: a crystal structure in Alexandria, relaxed with PBE.

Atomic structure:
abc: 7.0447 9.8603 5.6594
angles: 90.00 90.00 90.00
Space group Pnnm (No. 58)
Symmetry-distinct sites (fractional):
Pr 0.0000 0.0000 0.0000
Nd 0.2470 0.3334 0.0000
Er 0.2503 0.1670 0.5000
Tm 0.0000 0.5000 0.5000

Main lines, sorted by position (2θ from 5° to 70°):
| 2theta | I (rel.) |
| --- | --- |
| 31.24 | 100 |
| 31.48 | 74 |
| 31.62 | 36 |
| 44.88 | 12 |
| 45.02 | 25 |
| 51.92 | 9 |
| 55.89 | 26 |
| 56.08 | 13 |
| 56.22 | 14 |
| 62.02 | 32 |

# Tb3Pd3Pt2
Theoretical powder diffraction line list, copper Kα. Input: a crystal structure in Alexandria, relaxed with PBE.

Atomic structure:
abc: 8.4248 8.4248 5.3944
angles: 90.00 90.00 120.00
Space group P6_3/mcm (No. 193)
Symmetry-distinct sites (fractional):
Tb 0.0000 0.3782 0.2500
Pd 0.0000 0.1956 0.7500
Pt 0.3333 0.6667 0.0000

Main lines, sorted by position (2θ from 5° to 70°):
| 2theta | I (rel.) |
| --- | --- |
| 26.85 | 42 |
| 32.47 | 50 |
| 35.48 | 32 |
| 36.60 | 100 |
| 36.96 | 71 |
| 39.68 | 98 |
| 44.79 | 28 |
| 46.27 | 49 |
| 55.34 | 45 |
| 61.57 | 22 |

# Cs3K2Rb4Au2
Theoretical powder diffraction line list, copper Kα. Input: a crystal structure in Alexandria, relaxed with PBE.

Atomic structure:
abc: 6.8886 6.8886 18.2760
angles: 90.00 90.00 120.00
Space group P-3m1 (No. 164)
Symmetry-distinct sites (fractional):
Cs 0.0000 0.0000 0.0000
Cs 0.0000 0.0000 0.3382
K 0.3333 0.6667 0.1144
Rb 0.3333 0.6667 0.4252
Rb 0.3333 0.6667 0.7973
Au 0.3333 0.6667 0.6112

Main lines, sorted by position (2θ from 5° to 70°):
| 2theta | I (rel.) |
| --- | --- |
| 15.63 | 37 |
| 20.84 | 36 |
| 25.87 | 100 |
| 26.33 | 16 |
| 32.56 | 16 |
| 33.02 | 45 |
| 35.82 | 23 |
| 42.41 | 23 |
| 45.62 | 21 |
| 50.35 | 27 |

# ScNiHW2
Theoretical powder diffraction line list, copper Kα. Input: a crystal structure in Alexandria, relaxed with PBE.

Atomic structure:
abc: 5.1145 5.1145 2.8004
angles: 90.00 90.00 90.00
Space group P4/mmm (No. 123)
Symmetry-distinct sites (fractional):
Sc 0.0000 0.0000 0.0000
Ni 0.5000 0.5000 0.5000
H 0.5000 0.5000 0.0000
W 0.0000 0.5000 0.5000

Main lines, sorted by position (2θ from 5° to 70°):
| 2theta | I (rel.) |
| --- | --- |
| 24.62 | 67 |
| 31.96 | 41 |
| 35.09 | 100 |
| 36.58 | 9 |
| 40.75 | 69 |
| 48.19 | 54 |
| 50.47 | 35 |
| 56.93 | 15 |
| 60.99 | 27 |
| 66.80 | 40 |

# PrMgSe
Theoretical powder diffraction line list, copper Kα. Input: a crystal structure in Alexandria, relaxed with PBE.

Atomic structure:
abc: 5.0681 5.0681 23.9281
angles: 90.00 90.00 120.00
Space group R-3m (No. 166, hexagonal axes)
Symmetry-distinct sites (fractional):
Pr 0.0000 0.0000 0.0872
Mg 0.0000 0.0000 0.3291
Se 0.0000 0.0000 0.2162

Main lines, sorted by position (2θ from 5° to 70°):
| 2theta | I (rel.) |
| --- | --- |
| 20.57 | 100 |
| 22.29 | 33 |
| 27.58 | 18 |
| 33.22 | 74 |
| 35.42 | 98 |
| 42.25 | 38 |
| 49.35 | 24 |
| 49.70 | 20 |
| 62.20 | 24 |
| 63.60 | 17 |

# Rb14Au6O3
Theoretical powder diffraction line list, copper Kα. Input: a crystal structure in Alexandria, relaxed with PBE.

Atomic structure:
abc: 12.5016 12.5016 7.4124
angles: 90.00 90.00 120.00
Space group P3 (No. 143)
Symmetry-distinct sites (fractional):
Rb 0.0000 0.0000 0.0000
Rb 0.0772 0.8638 0.5125
Rb 0.1902 0.4534 0.0149
Rb 0.3333 0.6667 0.4990
Rb 0.4549 0.1973 0.7170
Rb 0.5336 0.4112 0.2967
Au 0.0416 0.5761 0.7188
Au 0.2991 0.1002 0.2166
O 0.0000 0.0000 0.6549
O 0.3333 0.6667 0.1526
O 0.6667 0.3333 0.5080

Main lines, sorted by position (2θ from 5° to 70°):
| 2theta | I (rel.) |
| --- | --- |
| 14.48 | 41 |
| 18.57 | 47 |
| 20.31 | 78 |
| 24.85 | 57 |
| 27.49 | 84 |
| 29.20 | 38 |
| 29.75 | 51 |
| 32.16 | 100 |
| 32.60 | 68 |
| 40.08 | 57 |

# Ac7Sm2
Theoretical powder diffraction line list, copper Kα. Input: a crystal structure in Alexandria, relaxed with PBE.

Atomic structure:
abc: 6.7940 6.7940 9.5593
angles: 90.00 90.00 120.00
Space group P-31m (No. 162)
Symmetry-distinct sites (fractional):
Ac 0.0000 0.0000 0.0000
Ac 0.0000 0.3370 0.6720
Sm 0.3333 0.6667 0.0000

Main lines, sorted by position (2θ from 5° to 70°):
| 2theta | I (rel.) |
| --- | --- |
| 27.87 | 100 |
| 28.00 | 32 |
| 32.33 | 68 |
| 46.29 | 26 |
| 46.46 | 26 |
| 54.95 | 47 |
| 55.12 | 15 |
| 57.59 | 14 |
| 57.88 | 4 |
| 67.68 | 9 |